Entry 1:
# SiC
Theoretical XRD peak list, copper Kα. Input: a crystal structure in the Materials Project, relaxed with PBE.

Peak list (10 most intense, 10 to 90 degrees two-theta, low angle first)
2θ/deg, d_spacing, I_rel, hkl
33.48, 2.677, 29.1, 1 0 1
34.70, 2.585, 77.8, 1 0 13
34.89, 2.572, 38.7, 0 1 14
35.47, 2.530, 100.0, 0 0 51
37.85, 2.377, 66.5, 1 0 25
38.19, 2.357, 60.3, 0 1 26
59.82, 1.546, 86.9, 1 1 0
65.03, 1.434, 30.0, 1 0 76
65.72, 1.421, 28.6, 0 1 77
71.51, 1.319, 67.6, 1 1 51

Cell and atoms:
```
data_SiC
_chemical_formula_sum 'Si51 C51'
_symmetry_space_group_name_H-M 'R 3 m'
_symmetry_Int_Tables_number 160
_symmetry_space_group_name_Hall 'R 3 -2"'
_cell_length_a 3.0921
_cell_length_b 3.0921
_cell_length_c 129.0641
_cell_angle_alpha 90.00
_cell_angle_beta 90.00
_cell_angle_gamma 120.00
loop_
_atom_site_label
_atom_site_fract_x
_atom_site_fract_y
_atom_site_fract_z
Si1 0.0000 0.0000 0.0000
Si2 0.0000 0.0000 0.0393
Si3 0.0000 0.0000 0.0785
Si4 0.0000 0.0000 0.1177
Si5 0.0000 0.0000 0.1568
Si6 0.0000 0.0000 0.1960
Si7 0.0000 0.0000 0.2744
Si8 0.0000 0.0000 0.3530
Si9 0.0000 0.0000 0.4314
Si10 0.0000 0.0000 0.5097
Si11 0.0000 0.0000 0.5685
Si12 0.0000 0.0000 0.6470
Si13 0.0000 0.0000 0.7255
Si14 0.0000 0.0000 0.8040
Si15 0.0000 0.0000 0.8823
Si16 0.0000 0.0000 0.9215
Si17 0.0000 0.0000 0.9607
C1 0.0000 0.0000 0.0246
C2 0.0000 0.0000 0.0638
C3 0.0000 0.0000 0.1030
C4 0.0000 0.0000 0.1421
C5 0.0000 0.0000 0.1813
C6 0.0000 0.0000 0.2597
C7 0.0000 0.0000 0.3382
C8 0.0000 0.0000 0.4167
C9 0.0000 0.0000 0.4949
C10 0.0000 0.0000 0.5538
C11 0.0000 0.0000 0.6322
C12 0.0000 0.0000 0.7108
C13 0.0000 0.0000 0.7892
C14 0.0000 0.0000 0.8676
C15 0.0000 0.0000 0.9068
C16 0.0000 0.0000 0.9460
C17 0.0000 0.0000 0.9853
```

***

Entry 2:
# PCl3
Theoretical XRD peak list, copper Kα. Input: a crystal structure in the Materials Project, relaxed with PBE.

Peak list (10 most intense, 10 to 90 degrees two-theta, low angle first)
2θ/deg, d_spacing, I_rel, hkl
16.19, 5.476, 24.4, 0 1 1
16.79, 5.279, 40.0, 1 0 1
17.61, 5.037, 23.6, 0 2 0
18.98, 4.676, 30.8, 1 1 1
21.65, 4.104, 100.0, 2 1 0
24.05, 3.701, 40.3, 2 0 1
24.42, 3.644, 35.3, 1 2 1
25.64, 3.474, 56.1, 2 1 1
27.34, 3.262, 21.2, 0 0 2
29.94, 2.985, 84.9, 0 3 1

Cell and atoms:
```
data_PCl3
_chemical_formula_sum 'P4 Cl12'
_symmetry_space_group_name_H-M 'P n m a'
_symmetry_Int_Tables_number 62
_cell_length_a 8.9875
_cell_length_b 10.0745
_cell_length_c 6.5232
_cell_angle_alpha 90.00
_cell_angle_beta 90.00
_cell_angle_gamma 90.00
loop_
_symmetry_equiv_pos_as_xyz
'x,y,z'
'-x,-y,-z'
'-x+1/2,-y,z+1/2'
'x+1/2,y,-z+1/2'
'x+1/2,-y+1/2,-z+1/2'
'-x+1/2,y+1/2,z+1/2'
'-x,y+1/2,-z'
'x,-y+1/2,z'
loop_
_atom_site_label
_atom_site_fract_x
_atom_site_fract_y
_atom_site_fract_z
P1 0.0275 0.2500 0.0763
Cl1 0.0971 0.0921 0.2552
Cl2 0.1901 0.2500 0.8513
```